BaAgHgAu: computed powder diffractogram (CuKα), based on a PBE-relaxed structure.
Lines closer than 0.1° are merged.

a = 8.556 Å, b = 4.925 Å, c = 6.095 Å
α = 90.00°, β = 117.54°, γ = 90.00°
Space group Cm (No. 8)
Inequivalent atoms, fractional coordinates:
Ba 0.000 0.000 0.000 [2 per cell]
Ag 0.016 0.500 0.549 [2 per cell]
Hg 0.290 0.500 0.369 [2 per cell]
Au 0.211 0.000 0.634 [2 per cell]

Principal peaks in the range 2θ = 10–90°, in order of rising 2θ:
- 2θ = 16.40°, rel. 33, hkl 0 0 1
- 2θ = 21.51°, rel. 12, hkl 2 0 -1
- 2θ = 30.36°, rel. 55, hkl 1 1 1
- 2θ = 30.48°, rel. 27, hkl 2 0 -2
- 2θ = 34.61°, rel. 16, hkl 2 0 1
- 2θ = 34.80°, rel. 31, hkl 1 1 -2
- 2θ = 36.43°, rel. 100, hkl 0 2 0
- 2θ = 40.25°, rel. 15, hkl 0 2 1
- 2θ = 48.26°, rel. 15, hkl 2 2 -2
- 2θ = 61.93°, rel. 14, hkl 1 3 1